# 1
This entry pairs a crystal structure of MoS2N2Cl5 with its theoretical PXRD pattern. Radiation: Cu Kα, 1.54184 Å. Structure: a crystal structure in the Materials Project, relaxed with PBE.

Crystal structure
a b c (Å): 7.348 7.683 10.201
angles (deg): 75.16 81.33 84.62
Element x y z (fractional)
Mo (0.194, 0.155, 0.234)
Mo (0.806, 0.845, 0.766)
S (0.031, 0.411, 0.916)
S (0.391, 0.809, 0.449)
S (0.609, 0.191, 0.551)
S (0.969, 0.589, 0.084)
N (0.063, 0.386, 0.077)
N (0.298, 0.973, 0.351)
N (0.702, 0.027, 0.649)
N (0.937, 0.614, 0.923)
Cl (0.095, 0.362, 0.366)
Cl (0.102, 0.962, 0.706)
Cl (0.237, 0.041, 0.041)
Cl (0.471, 0.305, 0.156)
Cl (0.489, 0.354, 0.677)
Cl (0.511, 0.646, 0.323)
Cl (0.529, 0.695, 0.844)
Cl (0.763, 0.959, 0.959)
Cl (0.898, 0.038, 0.294)
Cl (0.905, 0.638, 0.634)

Main lines, low angle first (10 to 90 degrees two-theta):
two_theta	d/Å	intensity
13.1	6.762	52
16.1	5.488	75
16.6	5.336	100
26.3	3.383	77
26.7	3.334	54
31.8	2.814	25

=====

# 2
This entry pairs a crystal structure of MoSCl with its theoretical PXRD pattern. Radiation: Cu Kα, 1.54184 Å. Structure: a crystal structure in the Materials Project, relaxed with PBE.

Crystal structure
a b c (Å): 6.933 6.933 6.933
angles (deg): 60.00 60.00 60.00
Element x y z (fractional)
Mo (0.399, 0.399, 0.399)
Mo (0.399, 0.399, 0.803)
Mo (0.399, 0.803, 0.399)
Mo (0.803, 0.399, 0.399)
S (0.098, 0.634, 0.634)
S (0.634, 0.098, 0.634)
S (0.634, 0.634, 0.098)
S (0.634, 0.634, 0.634)
Cl (0.132, 0.132, 0.132)
Cl (0.132, 0.132, 0.604)
Cl (0.132, 0.604, 0.132)
Cl (0.604, 0.132, 0.132)

Main lines, low angle first (10 to 90 degrees two-theta):
two_theta	d/Å	intensity
15.7	5.661	100
30.2	2.956	31
36.7	2.451	65
40.1	2.249	27
48.2	1.887	33
52.8	1.733	33